This entry pairs a crystal structure of Ce4PuGe3 with its computed powder diffraction line list. Radiation: Cu Ka. Structure: a structure optimized by DFT (PBE).

```
data_Ce4PuGe3
_cell_length_a 19.452
_cell_length_b 4.205
_cell_length_c 4.685
_cell_angle_alpha 90.00
_cell_angle_beta 103.68
_cell_angle_gamma 90.00
_symmetry_space_group_name_H-M 'C 1 2/m 1'
_symmetry_Int_Tables_number 12
_symmetry_space_group_name_Hall '-C 2y'
loop_
_atom_site_label
_atom_site_fract_x
_atom_site_fract_y
_atom_site_fract_z
_atom_site_occupancy
Ce1 0.118 0.000 0.007 1
Ce2 0.235 0.000 0.758 1
Pu1 0.000 0.000 0.500 1
Ge1 0.000 0.500 0.000 1
Ge2 0.125 0.500 0.504 1
```

Most intense lines, 10° ≤ 2θ ≤ 80°, most intense first:
two_theta, d/Å, I/Imax, h k l
34.4, 2.609, 100, 5 1 -1
43.0, 2.103, 23, 0 2 0
38.1, 2.363, 21, 8 0 0
21.6, 4.105, 16, 1 1 0
30.1, 2.971, 15, 3 1 -1
58.8, 1.571, 12, 8 2 0
73.3, 1.292, 11, 5 3 -1
48.5, 1.878, 10, 8 0 -2

This entry pairs a crystal structure of Ho2ErAg2 with its computed powder diffraction line list. Radiation: Cu Ka. Structure: a structure optimized by DFT (PBE).

```
data_Ho2ErAg2
_cell_length_a 3.610
_cell_length_b 26.698
_cell_length_c 5.206
_cell_angle_alpha 90.00
_cell_angle_beta 90.00
_cell_angle_gamma 90.00
_symmetry_space_group_name_H-M 'C m c m'
_symmetry_Int_Tables_number 63
_symmetry_space_group_name_Hall '-C 2c 2'
loop_
_atom_site_label
_atom_site_fract_x
_atom_site_fract_y
_atom_site_fract_z
_atom_site_occupancy
Ho1 0.000 0.048 0.250 1
Ho2 0.000 0.234 0.250 1
Er1 0.000 0.146 0.750 1
Ag1 0.000 0.358 0.750 1
Ag2 0.000 0.452 0.250 1
```

Most intense lines, 10° ≤ 2θ ≤ 80°, most intense first:
two_theta, d/Å, I/Imax, h k l
34.6, 2.593, 100, 1 5 1
34.5, 2.603, 27, 0 0 2
33.6, 2.670, 22, 0 10 0
61.8, 1.501, 18, 1 5 3
48.9, 1.864, 15, 0 10 2
60.7, 1.526, 11, 1 15 1
62.6, 1.483, 9, 2 0 2
50.6, 1.805, 9, 2 0 0

This entry pairs a crystal structure of InIr2Rh with its computed powder diffraction line list. Radiation: Cu Ka. Structure: a structure optimized by DFT (PBE).

```
data_InIr2Rh
_cell_length_a 3.996
_cell_length_b 3.996
_cell_length_c 7.871
_cell_angle_alpha 90.00
_cell_angle_beta 90.00
_cell_angle_gamma 90.00
_symmetry_space_group_name_H-M 'I 4/m m m'
_symmetry_Int_Tables_number 139
_symmetry_space_group_name_Hall '-I 4 2'
loop_
_atom_site_label
_atom_site_fract_x
_atom_site_fract_y
_atom_site_fract_z
_atom_site_occupancy
In1 0.000 0.000 0.000 1
Ir1 0.000 0.500 0.250 1
Rh1 0.000 0.000 0.500 1
```

Most intense lines, 10° ≤ 2θ ≤ 80°, most intense first:
two_theta, d/Å, I/Imax, h k l
39.3, 2.295, 100, 1 1 2
45.4, 1.998, 33, 2 0 0
79.7, 1.203, 25, 3 1 2
66.7, 1.402, 21, 2 0 4
46.1, 1.968, 16, 0 0 4
66.1, 1.413, 11, 2 2 0
22.6, 3.935, 7, 0 0 2
31.7, 2.826, 6, 1 1 0